1.
For FeNiAsP2, a crystal structure in Alexandria, relaxed with GGA-PBE gives the theoretical PXRD pattern in this record (copper Kα).

Largest 12 diffraction maxima, most intense first, 2θ from 5° to 70°:
hkl 1 0 1, d 2.726, 2θ = 32.86°, I = 100
hkl 2 1 0, d 1.813, 2θ = 50.32°, I = 51
hkl 0 2 0, d 1.791, 2θ = 50.98°, I = 42
hkl 1 1 -1, d 2.547, 2θ = 35.24°, I = 39
hkl 0 1 2, d 1.910, 2θ = 47.62°, I = 39
hkl 1 1 -2, d 1.917, 2θ = 47.42°, I = 36
hkl 2 1 -1, d 1.844, 2θ = 49.43°, I = 21
hkl 1 0 0, d 4.209, 2θ = 21.11°, I = 21
hkl 0 1 0, d 3.582, 2θ = 24.86°, I = 16
hkl 1 0 -1, d 3.622, 2θ = 24.57°, I = 15
hkl 1 2 1, d 1.496, 2θ = 62.02°, I = 13
hkl 1 0 -2, d 2.270, 2θ = 39.71°, I = 11

Atomic structure:
```
data_FeNiAsP2
_chemical_formula_sum 'Fe1 Ni1 As1 P2'
_space_group_name_H-M_alt 'P 1 m 1'
_space_group_IT_number 6
_space_group_name_Hall 'P -2y'
_cell_length_a 4.3824
_cell_length_b 3.5819
_cell_length_c 4.7001
_cell_angle_alpha 90.00
_cell_angle_beta 106.17
_cell_angle_gamma 90.00
loop_
_atom_site_label
_atom_site_type_symbol
_atom_site_fract_x
_atom_site_fract_y
_atom_site_fract_z
Fe1 Fe 0.0000 0.0000 0.0000
Ni1 Ni 0.3789 0.5000 0.3821
As1 As 0.1182 0.0000 0.5411
P1 P 0.5481 0.0000 0.1700
P2 P 0.7547 0.5000 0.7990
```

=====

2.
For FeNiAsP2, a crystal structure in Alexandria, relaxed with GGA-PBE gives the theoretical PXRD pattern in this record (copper Kα).

Largest 12 diffraction maxima, most intense first, 2θ from 5° to 70°:
hkl 1 1 0, d 3.083, 2θ = 28.96°, I = 100
hkl 3 1 0, d 1.899, 2θ = 47.90°, I = 69
hkl 0 0 2, d 2.932, 2θ = 30.49°, I = 67
hkl 3 1 -3, d 1.715, 2θ = 53.41°, I = 66
hkl 0 0 1, d 5.864, 2θ = 15.11°, I = 65
hkl 2 0 0, d 3.409, 2θ = 26.14°, I = 63
hkl 0 0 3, d 1.956, 2θ = 46.42°, I = 60
hkl 1 1 -3, d 1.824, 2θ = 50.00°, I = 55
hkl 1 1 -1, d 2.986, 2θ = 29.92°, I = 54
hkl 0 2 0, d 1.728, 2θ = 52.99°, I = 37
hkl 3 1 -1, d 2.041, 2θ = 44.37°, I = 30
hkl 3 1 2, d 1.378, 2θ = 68.03°, I = 23

Atomic structure:
```
data_FeNiAsP2
_chemical_formula_sum 'Fe2 Ni2 As2 P4'
_space_group_name_H-M_alt 'C 1 m 1'
_space_group_IT_number 8
_space_group_name_Hall 'C -2y'
_cell_length_a 7.6043
_cell_length_b 3.4563
_cell_length_c 6.5401
_cell_angle_alpha 90.00
_cell_angle_beta 116.28
_cell_angle_gamma 90.00
loop_
_atom_site_label
_atom_site_type_symbol
_atom_site_fract_x
_atom_site_fract_y
_atom_site_fract_z
Fe1 Fe 0.0000 0.0000 0.0000
Ni1 Ni 0.1757 0.5000 0.5909
As1 As 0.4835 0.5000 0.6196
P1 P 0.0654 0.5000 0.2233
P2 P 0.1905 0.5000 0.9545
```

=====

3.
For FeNiAsP2, a crystal structure in Alexandria, relaxed with GGA-PBE gives the theoretical PXRD pattern in this record (copper Kα).

Largest 12 diffraction maxima, most intense first, 2θ from 5° to 70°:
hkl 1 1 1, d 2.209, 2θ = 40.85°, I = 100
hkl 0 0 4, d 3.531, 2θ = 25.22°, I = 58
hkl 0 0 2, d 7.048, 2θ = 12.56°, I = 57
hkl 1 1 5, d 1.752, 2θ = 52.20°, I = 42
hkl 1 0 6, d 1.807, 2θ = 50.50°, I = 25
hkl 0 2 0, d 1.827, 2θ = 49.91°, I = 23
hkl 0 1 7, d 1.764, 2θ = 51.84°, I = 20
hkl 0 0 6, d 2.349, 2θ = 38.31°, I = 20
hkl 0 1 5, d 2.232, 2θ = 40.41°, I = 17
hkl 1 0 2, d 2.625, 2θ = 34.15°, I = 10
hkl 2 0 0, d 1.414, 2θ = 66.06°, I = 9
hkl 0 2 6, d 1.442, 2θ = 64.62°, I = 8

Atomic structure:
```
data_FeNiAsP2
_chemical_formula_sum 'Fe2 Ni2 As2 P4'
_space_group_name_H-M_alt 'A m m 2'
_space_group_IT_number 38
_space_group_name_Hall 'A 2 -2'
_cell_length_a 2.8288
_cell_length_b 3.6545
_cell_length_c 14.0968
_cell_angle_alpha 90.00
_cell_angle_beta 90.00
_cell_angle_gamma 90.00
loop_
_atom_site_label
_atom_site_type_symbol
_atom_site_fract_x
_atom_site_fract_y
_atom_site_fract_z
Fe1 Fe 0.0000 0.0000 0.0000
Ni1 Ni 0.5000 0.0000 0.7241
As1 As 0.0000 0.0000 0.1779
P1 P 0.5000 0.0000 0.5489
P2 P 0.5000 0.0000 0.8796
```